No. 1
RbZr2Mn: computed powder XRD pattern (Cu Kα), based on the PBE geometry in Alexandria.
Kinematic intensities with the Lorentz-polarization factor, no thermal factor.

Most intense lines, 10° ≤ 2θ ≤ 90°, in order of rising 2θ:
(1 0 1), 6.087 Å, 2θ 14.6, rel. 57; (2 0 0), 3.728 Å, 2θ 23.9, rel. 100; (2 1 1), 3.179 Å, 2θ 28.1, rel. 84; (2 0 2), 3.044 Å, 2θ 29.3, rel. 67; (3 1 2), 2.152 Å, 2θ 42.0, rel. 43; (3 2 1), 2.029 Å, 2θ 44.7, rel. 31; (4 0 0), 1.864 Å, 2θ 48.9, rel. 72; (4 2 2), 1.589 Å, 2θ 58.0, rel. 28; (5 1 2), 1.409 Å, 2θ 66.3, rel. 21; (5 2 1), 1.373 Å, 2θ 68.3, rel. 20

Structural model:
Lattice parameters (Å, degrees): 7.4517 7.4517 10.5528 90.00 90.00 90.00
Space group I4_1/amd (No. 141, origin choice 2)
Unique sites:
Rb  0.0000  0.2500  0.3750
Zr  0.0000  0.0000  0.0000
Mn  0.0000  0.2500  0.8750

---

No. 2
Cs2AlGeCl6: computed powder XRD pattern (Cu Kα), based on the PBE geometry in Alexandria.
Kinematic intensities with the Lorentz-polarization factor, no thermal factor.

Most intense lines, 10° ≤ 2θ ≤ 90°, in order of rising 2θ:
(2 0 0), 3.705 Å, 2θ 24.0, rel. 100; (2 0 2), 3.025 Å, 2θ 29.5, rel. 65; (2 2 0), 2.620 Å, 2θ 34.2, rel. 77; (3 1 2), 2.139 Å, 2θ 42.3, rel. 44; (4 0 0), 1.852 Å, 2θ 49.2, rel. 50; (1 1 6), 1.657 Å, 2θ 55.5, rel. 22; (4 2 2), 1.580 Å, 2θ 58.4, rel. 23; (4 0 4), 1.512 Å, 2θ 61.3, rel. 17; (3 1 6), 1.400 Å, 2θ 66.8, rel. 25; (6 2 0), 1.172 Å, 2θ 82.3, rel. 21

Structural model:
Lattice parameters (Å, degrees): 7.4102 7.4102 10.4763 90.00 90.00 90.00
Space group I4/mmm (No. 139)
Unique sites:
Cs  0.0000  0.5000  0.2500
Al  0.0000  0.0000  0.0000
Ge  0.0000  0.0000  0.5000
Cl  0.0000  0.0000  0.2327
Cl  0.2341  0.2341  0.0000